(1)
Diffraction record for Pm6Sn2C. The powder X-ray diffraction pattern is theoretical, not measured: it uses a crystal structure in Alexandria, relaxed with PBE and Cu Kα.
Kinematic intensities with the Lorentz-polarization factor, no thermal factor.

Crystal structure
```
data_Pm6Sn2C
_cell_length_a 7.092
_cell_length_b 7.092
_cell_length_c 10.058
_cell_angle_alpha 90.00
_cell_angle_beta 90.00
_cell_angle_gamma 90.00
_symmetry_space_group_name_H-M 'I 4/m m m'
_symmetry_Int_Tables_number 139
_symmetry_space_group_name_Hall '-I 4 2'
loop_
_atom_site_label
_atom_site_type_symbol
_atom_site_fract_x
_atom_site_fract_y
_atom_site_fract_z
_atom_site_occupancy
Pm1 Pm 0.000 0.000 0.246 1
Pm2 Pm 0.246 0.246 0.000 1
Sn1 Sn 0.000 0.500 0.250 1
C1 C 0.000 0.000 0.000 1
```

Largest 9 diffraction maxima, low angle first, 5 to 70 degrees two-theta:
15.29°, 5.796 Å, I 0.6, hkl 1 0 1
17.67°, 5.019 Å, I 1.1, hkl 0 0 2
30.86°, 2.898 Å, I 100.0, hkl 2 0 2
35.71°, 2.514 Å, I 17.6, hkl 0 0 4
35.81°, 2.507 Å, I 35.0, hkl 2 2 0
51.50°, 1.775 Å, I 37.2, hkl 4 0 0
61.15°, 1.515 Å, I 14.4, hkl 2 0 6
61.30°, 1.512 Å, I 28.6, hkl 4 2 2
64.29°, 1.449 Å, I 12.7, hkl 4 0 4

=====

(2)
Diffraction record for NaH3C4O5. The powder X-ray diffraction pattern is theoretical, not measured: it uses a crystal structure in Alexandria, relaxed with PBE and Cu Kα.
Kinematic intensities with the Lorentz-polarization factor, no thermal factor.

Crystal structure
```
data_NaH3C4O5
_cell_length_a 3.945
_cell_length_b 8.160
_cell_length_c 9.838
_cell_angle_alpha 90.00
_cell_angle_beta 103.54
_cell_angle_gamma 90.00
_symmetry_space_group_name_H-M 'P 1 c 1'
_symmetry_Int_Tables_number 7
loop_
_symmetry_equiv_pos_as_xyz
'x,y,z'
'x,-y,z+1/2'
loop_
_atom_site_label
_atom_site_type_symbol
_atom_site_fract_x
_atom_site_fract_y
_atom_site_fract_z
_atom_site_occupancy
Na1 Na 0.000 0.141 0.000 1
H1 H 0.602 0.041 0.200 1
H2 H 0.614 0.234 0.206 1
H3 H 0.792 0.495 0.367 1
C1 C 0.185 0.256 0.559 1
C2 C 0.188 0.439 0.562 1
C3 C 0.445 0.436 0.693 1
C4 C 0.454 0.258 0.696 1
O1 O 0.026 0.149 0.479 1
O2 O 0.028 0.448 0.983 1
O3 O 0.583 0.141 0.140 1
O4 O 0.605 0.448 0.275 1
O5 O 0.618 0.152 0.777 1
```

Largest 10 diffraction maxima, low angle first, 5 to 70 degrees two-theta:
14.27°, 6.208 Å, I 12.9, hkl 0 1 1
18.55°, 4.782 Å, I 14.5, hkl 0 0 2
25.37°, 3.510 Å, I 11.2, hkl 1 1 -1
26.16°, 3.406 Å, I 100.0, hkl 1 0 -2
32.93°, 2.720 Å, I 22.7, hkl 0 3 0
33.19°, 2.699 Å, I 21.7, hkl 1 0 2
35.74°, 2.512 Å, I 11.3, hkl 0 2 3
37.62°, 2.391 Å, I 8.3, hkl 0 0 4
42.53°, 2.126 Å, I 13.6, hkl 1 3 -2
47.43°, 1.917 Å, I 15.0, hkl 2 0 0

=====

(3)
Diffraction record for K6RbNa5. The powder X-ray diffraction pattern is theoretical, not measured: it uses a crystal structure in Alexandria, relaxed with PBE and Cu Kα.
Kinematic intensities with the Lorentz-polarization factor, no thermal factor.

Crystal structure
```
data_K6RbNa5
_cell_length_a 6.537
_cell_length_b 19.141
_cell_length_c 10.887
_cell_angle_alpha 90.00
_cell_angle_beta 90.13
_cell_angle_gamma 90.00
_symmetry_space_group_name_H-M 'C 1 2/m 1'
_symmetry_Int_Tables_number 12
loop_
_symmetry_equiv_pos_as_xyz
'x,y,z'
'-x,-y,-z'
'-x,y,-z'
'x,-y,z'
'x+1/2,y+1/2,z'
'-x+1/2,-y+1/2,-z'
'-x+1/2,y+1/2,-z'
'x+1/2,-y+1/2,z'
loop_
_atom_site_label
_atom_site_type_symbol
_atom_site_fract_x
_atom_site_fract_y
_atom_site_fract_z
_atom_site_occupancy
K1 K 0.000 0.000 0.228 1
K2 K 0.000 0.328 0.234 1
Rb1 Rb 0.000 0.500 0.500 1
Na1 Na 0.000 0.165 0.000 1
Na2 Na 0.000 0.173 0.500 1
Na3 Na 0.000 0.500 0.000 1
```

Largest 10 diffraction maxima, low angle first, 5 to 70 degrees two-theta:
25.46°, 3.498 Å, I 100.0, hkl 1 3 2
27.28°, 3.269 Å, I 21.6, hkl 2 0 0
27.97°, 3.190 Å, I 19.8, hkl 0 6 0
32.91°, 2.722 Å, I 11.4, hkl 0 0 4
39.47°, 2.283 Å, I 14.7, hkl 2 6 0
43.72°, 2.071 Å, I 9.9, hkl 0 6 4
47.13°, 1.928 Å, I 16.6, hkl 3 3 -2
47.99°, 1.896 Å, I 15.3, hkl 1 9 2
52.30°, 1.749 Å, I 10.7, hkl 2 6 -4
54.41°, 1.686 Å, I 8.3, hkl 1 3 -6

=====

(4)
Diffraction record for Nd2Dy2Tm5. The powder X-ray diffraction pattern is theoretical, not measured: it uses a crystal structure in Alexandria, relaxed with PBE and Cu Kα.
Kinematic intensities with the Lorentz-polarization factor, no thermal factor.

Crystal structure
```
data_Nd2Dy2Tm5
_cell_length_a 21.472
_cell_length_b 3.471
_cell_length_c 8.175
_cell_angle_alpha 90.00
_cell_angle_beta 99.93
_cell_angle_gamma 90.00
_symmetry_space_group_name_H-M 'C 1 2/m 1'
_symmetry_Int_Tables_number 12
loop_
_symmetry_equiv_pos_as_xyz
'x,y,z'
'-x,-y,-z'
'-x,y,-z'
'x,-y,z'
'x+1/2,y+1/2,z'
'-x+1/2,-y+1/2,-z'
'-x+1/2,y+1/2,-z'
'x+1/2,-y+1/2,z'
loop_
_atom_site_label
_atom_site_type_symbol
_atom_site_fract_x
_atom_site_fract_y
_atom_site_fract_z
_atom_site_occupancy
Nd1 Nd 0.182 0.000 0.143 1
Dy1 Dy 0.046 0.500 0.355 1
Tm1 Tm 0.000 0.000 0.000 1
Tm2 Tm 0.096 0.000 0.732 1
Tm3 Tm 0.191 0.500 0.529 1
```

Largest 10 diffraction maxima, low angle first, 5 to 70 degrees two-theta:
25.78°, 3.456 Å, I 43.2, hkl 6 0 -1
28.03°, 3.184 Å, I 42.5, hkl 1 1 -1
28.61°, 3.120 Å, I 41.6, hkl 1 1 1
29.97°, 2.982 Å, I 79.9, hkl 3 1 -1
30.13°, 2.966 Å, I 72.2, hkl 4 0 2
32.98°, 2.716 Å, I 71.4, hkl 2 0 -3
33.84°, 2.649 Å, I 71.4, hkl 8 0 -1
35.06°, 2.559 Å, I 75.5, hkl 3 1 -2
36.44°, 2.466 Å, I 100.0, hkl 5 1 1
42.99°, 2.104 Å, I 34.6, hkl 7 1 -2